Computed X-ray diffraction stick pattern of MgHgTeO for λ = 1.5418 Å (Cu Kα), from a structure optimized by DFT (PBE).
Kinematic intensities with the Lorentz-polarization factor, no thermal factor.

Peak list (8 most intense, 5 to 70 degrees two-theta, in order of falling intensity)
| Position (°2θ) | d_spacing | Rel. int. | (hkl) |
| --- | --- | --- | --- |
| 24.33 | 3.659 | 100 | 1 0 2 |
| 20.74 | 4.284 | 78 | 1 1 1 |
| 31.91 | 2.805 | 36 | 2 1 1 |
| 36.50 | 2.462 | 35 | 2 1 2 |
| 18.15 | 4.887 | 33 | 1 1 0 |
| 39.90 | 2.260 | 32 | 1 3 1 |
| 23.22 | 3.831 | 30 | 0 1 2 |
| 34.19 | 2.623 | 28 | 1 2 2 |

Structure:
```
data_MgHgTeO
_space_group_name_H-M_alt 'P 21 21 21'
_space_group_IT_number 19
_cell_length_a 6.427
_cell_length_b 7.523
_cell_length_c 8.901
_cell_angle_alpha 90.00
_cell_angle_beta 90.00
_cell_angle_gamma 90.00
loop_
_space_group_symop_operation_xyz
'x,y,z'
'-x+1/2,-y,z+1/2'
'x+1/2,-y+1/2,-z'
'-x,y+1/2,-z+1/2'
loop_
_atom_site_label
_atom_site_type_symbol
_atom_site_fract_x
_atom_site_fract_y
_atom_site_fract_z
_atom_site_occupancy
Mg1 Mg 0.191 0.162 0.012 1
Hg1 Hg 0.210 0.430 0.379 1
Te1 Te 0.121 0.875 0.805 1
O1 O 0.099 0.682 0.438 1
```


Computed X-ray diffraction stick pattern of Cs3TbF6 for λ = 1.5418 Å (Cu Kα), from a structure optimized by DFT (PBE).
Kinematic intensities with the Lorentz-polarization factor, no thermal factor.

Peak list (8 most intense, 5 to 70 degrees two-theta, in order of falling intensity)
| Position (°2θ) | d_spacing | Rel. int. | (hkl) |
| --- | --- | --- | --- |
| 26.01 | 3.426 | 100 | 2 0 0 |
| 45.87 | 1.978 | 42 | 3 1 2 |
| 37.11 | 2.423 | 32 | 2 2 0 |
| 53.49 | 1.713 | 21 | 4 0 0 |
| 60.39 | 1.533 | 14 | 3 3 2 |
| 66.89 | 1.399 | 7 | 4 0 4 |
| 60.45 | 1.531 | 7 | 4 2 0 |
| 18.31 | 4.846 | 2 | 1 1 0 |

Structure:
```
data_Cs3TbF6
_space_group_name_H-M_alt 'I 4/m m m'
_space_group_IT_number 139
_space_group_name_Hall '-I 4 2'
_cell_length_a 6.849
_cell_length_b 6.849
_cell_length_c 9.703
_cell_angle_alpha 90.00
_cell_angle_beta 90.00
_cell_angle_gamma 90.00
loop_
_atom_site_label
_atom_site_type_symbol
_atom_site_fract_x
_atom_site_fract_y
_atom_site_fract_z
_atom_site_occupancy
Cs1 Cs 0.000 0.000 0.000 1
Cs2 Cs 0.000 0.500 0.250 1
Tb1 Tb 0.000 0.000 0.500 1
F1 F 0.000 0.000 0.277 1
F2 F 0.223 0.223 0.500 1
```


Computed X-ray diffraction stick pattern of Li2Hg2O3 for λ = 1.5418 Å (Cu Kα), from a structure optimized by DFT (PBE).
Kinematic intensities with the Lorentz-polarization factor, no thermal factor.

Peak list (8 most intense, 5 to 70 degrees two-theta, in order of falling intensity)
| Position (°2θ) | d_spacing | Rel. int. | (hkl) |
| --- | --- | --- | --- |
| 23.68 | 3.757 | 100 | 2 0 0 |
| 33.74 | 2.657 | 82 | 2 2 0 |
| 54.63 | 1.680 | 34 | 4 2 0 |
| 41.64 | 2.169 | 33 | 2 2 2 |
| 60.35 | 1.534 | 28 | 4 2 2 |
| 48.46 | 1.878 | 16 | 4 0 0 |
| 45.15 | 2.008 | 12 | 3 2 1 |
| 63.09 | 1.474 | 11 | 5 0 1 |

Structure:
```
data_Li2Hg2O3
_space_group_name_H-M_alt 'I 21 3'
_space_group_IT_number 199
_space_group_name_Hall 'I 2b 2c 3'
_cell_length_a 7.514
_cell_length_b 7.514
_cell_length_c 7.514
_cell_angle_alpha 90.00
_cell_angle_beta 90.00
_cell_angle_gamma 90.00
loop_
_atom_site_label
_atom_site_type_symbol
_atom_site_fract_x
_atom_site_fract_y
_atom_site_fract_z
_atom_site_occupancy
Li1 Li 0.035 0.465 0.535 1
Hg1 Hg 0.230 0.230 0.230 1
O1 O 0.000 0.250 0.411 1
```


Computed X-ray diffraction stick pattern of Li2MgAl2Cu2Pd for λ = 1.5418 Å (Cu Kα), from a structure optimized by DFT (PBE).
Kinematic intensities with the Lorentz-polarization factor, no thermal factor.

Peak list (8 most intense, 5 to 70 degrees two-theta, in order of falling intensity)
| Position (°2θ) | d_spacing | Rel. int. | (hkl) |
| --- | --- | --- | --- |
| 41.78 | 2.162 | 100 | 1 1 2 |
| 29.55 | 3.023 | 51 | 1 1 0 |
| 42.28 | 2.137 | 49 | 2 0 0 |
| 14.32 | 6.187 | 28 | 0 0 1 |
| 28.86 | 3.094 | 28 | 0 0 2 |
| 52.00 | 1.758 | 21 | 2 0 2 |
| 20.78 | 4.275 | 19 | 1 0 0 |
| 61.34 | 1.511 | 16 | 2 2 0 |

Structure:
```
data_Li2MgAl2Cu2Pd
_space_group_name_H-M_alt 'P -4 m 2'
_space_group_IT_number 115
_cell_length_a 4.275
_cell_length_b 4.275
_cell_length_c 6.187
_cell_angle_alpha 90.00
_cell_angle_beta 90.00
_cell_angle_gamma 90.00
loop_
_space_group_symop_operation_xyz
'x,y,z'
'y,-x,-z'
'-x,-y,z'
'-y,x,-z'
'-x,y,z'
'-y,-x,-z'
'x,-y,z'
'y,x,-z'
loop_
_atom_site_label
_atom_site_type_symbol
_atom_site_fract_x
_atom_site_fract_y
_atom_site_fract_z
_atom_site_occupancy
Li1 Li 0.000 0.500 0.239 1
Mg1 Mg 0.000 0.000 0.500 1
Al1 Al 0.000 0.500 0.777 1
Cu1 Cu 0.000 0.000 0.000 1
Cu2 Cu 0.500 0.500 0.500 1
Pd1 Pd 0.500 0.500 0.000 1
```


Computed X-ray diffraction stick pattern of AgClF for λ = 1.5418 Å (Cu Kα), from a structure optimized by DFT (PBE).
Kinematic intensities with the Lorentz-polarization factor, no thermal factor.

Peak list (8 most intense, 5 to 70 degrees two-theta, in order of falling intensity)
| Position (°2θ) | d_spacing | Rel. int. | (hkl) |
| --- | --- | --- | --- |
| 23.56 | 3.776 | 100 | 1 1 -1 |
| 26.82 | 3.324 | 59 | 1 1 1 |
| 43.99 | 2.058 | 36 | 2 2 0 |
| 40.89 | 2.207 | 26 | 0 2 2 |
| 26.01 | 3.425 | 26 | 0 0 2 |
| 48.24 | 1.886 | 23 | 1 1 3 |
| 35.98 | 2.496 | 19 | 2 0 -2 |
| 42.42 | 2.131 | 17 | 1 1 -3 |

Structure:
```
data_AgClF
_space_group_name_H-M_alt 'C 1 2/c 1'
_space_group_IT_number 15
_cell_length_a 6.000
_cell_length_b 5.772
_cell_length_c 6.999
_cell_angle_alpha 90.00
_cell_angle_beta 101.82
_cell_angle_gamma 90.00
loop_
_space_group_symop_operation_xyz
'x,y,z'
'-x,-y,-z'
'-x,y,-z+1/2'
'x,-y,z+1/2'
'x+1/2,y+1/2,z'
'-x+1/2,-y+1/2,-z'
'-x+1/2,y+1/2,-z+1/2'
'x+1/2,-y+1/2,z+1/2'
loop_
_atom_site_label
_atom_site_type_symbol
_atom_site_fract_x
_atom_site_fract_y
_atom_site_fract_z
_atom_site_occupancy
Ag1 Ag 0.250 0.250 0.000 1
Cl1 Cl 0.000 0.024 0.750 1
F1 F 0.000 0.500 0.000 1
```


Computed X-ray diffraction stick pattern of Nb4TlPbC2 for λ = 1.5418 Å (Cu Kα), from a structure optimized by DFT (PBE).
Kinematic intensities with the Lorentz-polarization factor, no thermal factor.

Peak list (8 most intense, 5 to 70 degrees two-theta, in order of falling intensity)
| Position (°2θ) | d_spacing | Rel. int. | (hkl) |
| --- | --- | --- | --- |
| 36.86 | 2.439 | 100 | 1 0 3 |
| 31.58 | 2.833 | 23 | 1 0 0 |
| 56.23 | 1.636 | 20 | 1 1 0 |
| 37.56 | 2.395 | 20 | 0 0 6 |
| 69.60 | 1.351 | 20 | 1 1 6 |
| 67.32 | 1.391 | 17 | 1 0 9 |
| 69.15 | 1.359 | 16 | 2 0 3 |
| 49.86 | 1.829 | 15 | 1 0 6 |

Structure:
```
data_Nb4TlPbC2
_space_group_name_H-M_alt 'P -6 m 2'
_space_group_IT_number 187
_space_group_name_Hall 'P -6 2'
_cell_length_a 3.2717
_cell_length_b 3.2717
_cell_length_c 14.3693
_cell_angle_alpha 90.00
_cell_angle_beta 90.00
_cell_angle_gamma 120.00
loop_
_atom_site_label
_atom_site_type_symbol
_atom_site_fract_x
_atom_site_fract_y
_atom_site_fract_z
_atom_site_occupancy
Nb1 Nb 0.0000 0.0000 0.1703 1
Nb2 Nb 0.3333 0.6667 0.3299 1
Tl1 Tl 0.0000 0.0000 0.5000 1
Pb1 Pb 0.3333 0.6667 0.0000 1
C1 C 0.6667 0.3333 0.2504 1
```


Computed X-ray diffraction stick pattern of BeCoIr2 for λ = 1.5418 Å (Cu Kα), from a structure optimized by DFT (PBE).
Kinematic intensities with the Lorentz-polarization factor, no thermal factor.

Peak list (6 most intense, 5 to 70 degrees two-theta, in order of falling intensity)
| Position (°2θ) | d_spacing | Rel. int. | (hkl) |
| --- | --- | --- | --- |
| 43.73 | 2.070 | 100 | 2 2 0 |
| 26.36 | 3.381 | 63 | 1 1 1 |
| 51.78 | 1.765 | 31 | 3 1 1 |
| 63.56 | 1.464 | 16 | 4 0 0 |
| 30.53 | 2.928 | 2 | 2 0 0 |
| 54.27 | 1.690 | 1 | 2 2 2 |

Structure:
```
data_BeCoIr2
_space_group_name_H-M_alt 'F -4 3 m'
_space_group_IT_number 216
_space_group_name_Hall 'F -4 2 3'
_cell_length_a 5.855
_cell_length_b 5.855
_cell_length_c 5.855
_cell_angle_alpha 90.00
_cell_angle_beta 90.00
_cell_angle_gamma 90.00
loop_
_atom_site_label
_atom_site_type_symbol
_atom_site_fract_x
_atom_site_fract_y
_atom_site_fract_z
_atom_site_occupancy
Be1 Be 0.000 0.000 0.000 1
Co1 Co 0.250 0.250 0.250 1
Ir1 Ir 0.000 0.000 0.500 1
Ir2 Ir 0.250 0.250 0.750 1
```


Computed X-ray diffraction stick pattern of Cu9Ag for λ = 1.5418 Å (Cu Kα), from a structure optimized by DFT (PBE).
Kinematic intensities with the Lorentz-polarization factor, no thermal factor.

Peak list (8 most intense, 5 to 70 degrees two-theta, in order of falling intensity)
| Position (°2θ) | d_spacing | Rel. int. | (hkl) |
| --- | --- | --- | --- |
| 42.45 | 2.129 | 100 | 1 1 -3 |
| 49.25 | 1.850 | 63 | 3 1 1 |
| 42.91 | 2.108 | 48 | 4 0 -2 |
| 42.60 | 2.122 | 48 | 2 0 4 |
| 50.30 | 1.814 | 27 | 2 0 -6 |
| 35.41 | 2.535 | 3 | 2 0 3 |
| 21.08 | 4.214 | 2 | 2 0 -1 |
| 29.06 | 3.073 | 2 | 2 0 2 |

Structure:
```
data_Cu9Ag
_space_group_name_H-M_alt 'C 1 2/m 1'
_space_group_IT_number 12
_cell_length_a 8.587
_cell_length_b 2.630
_cell_length_c 11.209
_cell_angle_alpha 90.00
_cell_angle_beta 101.15
_cell_angle_gamma 90.00
loop_
_space_group_symop_operation_xyz
'x,y,z'
'-x,-y,-z'
'-x,y,-z'
'x,-y,z'
'x+1/2,y+1/2,z'
'-x+1/2,-y+1/2,-z'
'-x+1/2,y+1/2,-z'
'x+1/2,-y+1/2,z'
loop_
_atom_site_label
_atom_site_type_symbol
_atom_site_fract_x
_atom_site_fract_y
_atom_site_fract_z
_atom_site_occupancy
Cu1 Cu 0.000 0.000 0.000 1
Cu2 Cu 0.099 0.500 0.194 1
Cu3 Cu 0.102 0.000 0.713 1
Cu4 Cu 0.201 0.500 0.904 1
Cu5 Cu 0.202 0.000 0.389 1
Ag1 Ag 0.000 0.500 0.500 1
```


Computed X-ray diffraction stick pattern of GdScO3 for λ = 1.5418 Å (Cu Kα), from a structure optimized by DFT (PBE).
Kinematic intensities with the Lorentz-polarization factor, no thermal factor.

Peak list (8 most intense, 5 to 70 degrees two-theta, in order of falling intensity)
| Position (°2θ) | d_spacing | Rel. int. | (hkl) |
| --- | --- | --- | --- |
| 31.80 | 2.814 | 100 | 1 2 1 |
| 22.56 | 3.942 | 30 | 1 0 1 |
| 46.05 | 1.971 | 24 | 2 0 2 |
| 56.45 | 1.630 | 24 | 2 4 0 |
| 32.04 | 2.793 | 24 | 2 0 0 |
| 22.12 | 4.019 | 20 | 0 2 0 |
| 56.96 | 1.617 | 19 | 3 2 1 |
| 57.14 | 1.612 | 18 | 1 2 3 |

Structure:
```
data_GdScO3
_space_group_name_H-M_alt 'I m m a'
_space_group_IT_number 74
_space_group_name_Hall '-I 2b 2'
_cell_length_a 5.586
_cell_length_b 8.038
_cell_length_c 5.562
_cell_angle_alpha 90.00
_cell_angle_beta 90.00
_cell_angle_gamma 90.00
loop_
_atom_site_label
_atom_site_type_symbol
_atom_site_fract_x
_atom_site_fract_y
_atom_site_fract_z
_atom_site_occupancy
Gd1 Gd 0.000 0.250 0.031 1
Sc1 Sc 0.000 0.000 0.500 1
O1 O 0.000 0.250 0.629 1
O2 O 0.250 0.075 0.250 1
```


Computed X-ray diffraction stick pattern of Zr2Al2Cu3Au for λ = 1.5418 Å (Cu Kα), from a structure optimized by DFT (PBE).
Kinematic intensities with the Lorentz-polarization factor, no thermal factor.

Peak list (8 most intense, 5 to 70 degrees two-theta, in order of falling intensity)
| Position (°2θ) | d_spacing | Rel. int. | (hkl) |
| --- | --- | --- | --- |
| 40.90 | 2.207 | 100 | 0 1 3 |
| 42.14 | 2.144 | 72 | 1 1 0 |
| 23.96 | 3.714 | 54 | 1 0 0 |
| 60.17 | 1.538 | 31 | 2 0 3 |
| 32.47 | 2.757 | 18 | 1 0 2 |
| 10.75 | 8.230 | 18 | 0 0 1 |
| 26.33 | 3.385 | 16 | 1 0 1 |
| 49.06 | 1.857 | 8 | 2 0 0 |

Structure:
```
data_Zr2Al2Cu3Au
_space_group_name_H-M_alt 'P 3 m 1'
_space_group_IT_number 156
_cell_length_a 4.2886
_cell_length_b 4.2886
_cell_length_c 8.2297
_cell_angle_alpha 90.00
_cell_angle_beta 90.00
_cell_angle_gamma 120.00
loop_
_space_group_symop_operation_xyz
'x,y,z'
'-y,x-y,z'
'-x+y,-x,z'
'-y,-x,z'
'-x+y,y,z'
'x,x-y,z'
loop_
_atom_site_label
_atom_site_type_symbol
_atom_site_fract_x
_atom_site_fract_y
_atom_site_fract_z
_atom_site_occupancy
Zr1 Zr 0.0000 0.0000 0.0000 1
Zr2 Zr 0.3333 0.6667 0.4822 1
Al1 Al 0.6667 0.3333 0.2376 1
Al2 Al 0.6667 0.3333 0.7640 1
Cu1 Cu 0.0000 0.0000 0.3255 1
Cu2 Cu 0.3333 0.6667 0.1508 1
Cu3 Cu 0.3333 0.6667 0.8372 1
Au1 Au 0.0000 0.0000 0.6529 1
```


Computed X-ray diffraction stick pattern of NaDyHgS3 for λ = 1.5418 Å (Cu Kα), from a structure optimized by DFT (PBE).
Kinematic intensities with the Lorentz-polarization factor, no thermal factor.

Peak list (8 most intense, 5 to 70 degrees two-theta, in order of falling intensity)
| Position (°2θ) | d_spacing | Rel. int. | (hkl) |
| --- | --- | --- | --- |
| 13.28 | 6.669 | 100 | 0 2 0 |
| 28.44 | 3.138 | 58 | 1 1 2 |
| 34.32 | 2.613 | 48 | 1 3 2 |
| 31.05 | 2.880 | 28 | 1 3 1 |
| 33.35 | 2.687 | 23 | 0 0 4 |
| 44.05 | 2.056 | 20 | 0 6 2 |
| 36.04 | 2.492 | 19 | 0 2 4 |
| 48.14 | 1.890 | 15 | 1 5 3 |

Structure:
```
data_NaDyHgS3
_space_group_name_H-M_alt 'C m c m'
_space_group_IT_number 63
_space_group_name_Hall '-C 2c 2'
_cell_length_a 4.040
_cell_length_b 13.339
_cell_length_c 10.748
_cell_angle_alpha 90.00
_cell_angle_beta 90.00
_cell_angle_gamma 90.00
loop_
_atom_site_label
_atom_site_type_symbol
_atom_site_fract_x
_atom_site_fract_y
_atom_site_fract_z
_atom_site_occupancy
Na1 Na 0.000 0.243 0.250 1
Dy1 Dy 0.000 0.500 0.000 1
Hg1 Hg 0.000 0.046 0.750 1
S1 S 0.000 0.137 0.548 1
S2 S 0.000 0.418 0.750 1
```


Computed X-ray diffraction stick pattern of Y2In4IrPt for λ = 1.5418 Å (Cu Kα), from a structure optimized by DFT (PBE).
Kinematic intensities with the Lorentz-polarization factor, no thermal factor.

Peak list (8 most intense, 5 to 70 degrees two-theta, in order of falling intensity)
| Position (°2θ) | d_spacing | Rel. int. | (hkl) |
| --- | --- | --- | --- |
| 32.17 | 2.782 | 100 | 2 1 1 |
| 34.74 | 2.583 | 91 | 1 1 3 |
| 42.02 | 2.150 | 88 | 3 1 1 |
| 40.58 | 2.223 | 65 | 2 1 3 |
| 40.42 | 2.231 | 56 | 0 2 0 |
| 16.95 | 5.230 | 43 | 0 0 2 |
| 36.35 | 2.471 | 41 | 1 0 4 |
| 48.06 | 1.893 | 27 | 4 0 0 |

Structure:
```
data_Y2In4IrPt
_space_group_name_H-M_alt 'A m m 2'
_space_group_IT_number 38
_cell_length_a 7.569
_cell_length_b 4.463
_cell_length_c 10.459
_cell_angle_alpha 90.00
_cell_angle_beta 90.00
_cell_angle_gamma 90.00
loop_
_space_group_symop_operation_xyz
'x,y,z'
'-x,-y,z'
'-x,y,z'
'x,-y,z'
'x,y+1/2,z+1/2'
'-x,-y+1/2,z+1/2'
'-x,y+1/2,z+1/2'
'x,-y+1/2,z+1/2'
loop_
_atom_site_label
_atom_site_type_symbol
_atom_site_fract_x
_atom_site_fract_y
_atom_site_fract_z
_atom_site_occupancy
Y1 Y 0.000 0.000 0.000 1
Y2 Y 0.500 0.000 0.149 1
In1 In 0.200 0.000 0.713 1
In2 In 0.298 0.000 0.436 1
Ir1 Ir 0.000 0.000 0.285 1
Pt1 Pt 0.500 0.000 0.864 1
```


Q: Number 9 is which compound?
A: GdScO3


Q: What is the formula in the ninth record?
A: GdScO3